Simulated X-ray powder pattern of Ce3Ga2Tc2 for Cu Ka, from a crystal structure in Alexandria, relaxed with PBE.
Lines closer than 0.1° are merged.

Cell and atoms:
a b c (Å): 7.991 4.634 7.961
angles (deg): 90.00 109.45 90.00
Space group C2/m (No. 12)
Symmetry-distinct sites (fractional):
Ce 0.000 0.000 0.000 [2 per cell]
Ce 0.139 0.000 0.417 [4 per cell]
Ga 0.095 0.500 0.788 [4 per cell]
Tc 0.229 0.500 0.180 [4 per cell]

Largest 8 diffraction maxima, in order of rising 2θ, 10° ≤ 2θ ≤ 80°:
2θ/deg  I (rel.)  h k l
22.6  21.4  1 1 0
35.8  100.0  2 0 -3
38.9  36.3  0 2 0
39.0  71.8  3 1 -1
39.1  36.4  2 0 2
53.9  32.6  2 2 -3
70.5  16.4  3 3 -1
75.5  15.9  3 1 4